Structure and computed X-ray diffraction stick pattern of Y2Er12Zr (DFT lattice parameters and positions (PBE); Cu Ka).

abc: 7.033 11.038 23.704
angles: 90.00 94.28 90.00
Space group C2/m (No. 12)
Inequivalent atoms, fractional coordinates:
Y  0.067  0.000  0.275 x4
Y  0.070  0.500  0.277 x4
Er  0.016  0.253  0.063 x8
Er  0.031  0.000  0.126 x4
Er  0.033  0.500  0.130 x4
Er  0.111  0.253  0.444 x8
Er  0.142  0.000  0.579 x4
Er  0.147  0.500  0.577 x4
Er  0.168  0.251  0.672 x8
Er  0.202  0.250  0.810 x8
Zr  0.225  0.500  0.000 x4

Principal peaks in the range 10 to 90 degrees two-theta, by angle:
- 2θ = 30.23°, I 25, (0 0 8)
- 2θ = 31.05°, I 45, (0 2 7)
- 2θ = 31.62°, I 100, (2 2 2)
- 2θ = 32.45°, I 79, (0 4 0)
- 2θ = 32.91°, I 39, (2 0 -6)
- 2θ = 34.43°, I 55, (0 2 8)
- 2θ = 34.74°, I 54, (2 2 -5)
- 2θ = 46.89°, I 29, (2 4 -6)